# LaH6S3N3O9
Theoretical XRD peak list, Cu Kα (λ = 1.5418 Å). Input: a crystal structure in Alexandria, relaxed with GGA-PBE.

Structural model:
```
data_LaH6S3N3O9
_space_group_name_H-M_alt 'P 63'
_space_group_IT_number 173
_space_group_name_Hall 'P 6c'
_cell_length_a 10.0240
_cell_length_b 10.0240
_cell_length_c 5.9035
_cell_angle_alpha 90.00
_cell_angle_beta 90.00
_cell_angle_gamma 120.00
loop_
_atom_site_label
_atom_site_type_symbol
_atom_site_fract_x
_atom_site_fract_y
_atom_site_fract_z
_atom_site_occupancy
La1 La 0.3333 0.6667 0.0000 1
H1 H 0.0618 0.3185 0.4695 1
H2 H 0.0936 0.2052 0.6408 1
S1 S 0.0865 0.6882 0.5024 1
N1 N 0.1258 0.2654 0.4912 1
O1 O 0.0816 0.3911 0.0036 1
O2 O 0.1468 0.6554 0.7103 1
O3 O 0.1519 0.6610 0.2977 1
```

Most intense lines, 5° ≤ 2θ ≤ 70°, low angle first:
- 2θ = 10.19°, rel. 100, hkl 1 0 0
- 2θ = 18.17°, rel. 36, hkl 1 0 1
- 2θ = 23.28°, rel. 44, hkl 1 1 1
- 2θ = 25.47°, rel. 83, hkl 2 0 1
- 2θ = 27.18°, rel. 19, hkl 1 2 0
- 2θ = 30.90°, rel. 19, hkl 3 0 0
- 2θ = 31.19°, rel. 52, hkl 1 2 1
- 2θ = 40.46°, rel. 23, hkl 3 1 1
- 2θ = 43.81°, rel. 27, hkl 3 0 2
- 2θ = 48.22°, rel. 23, hkl 3 2 1



# LaH6S3N3O9
Theoretical XRD peak list, Cu Kα (λ = 1.5418 Å). Input: a crystal structure in Alexandria, relaxed with GGA-PBE.

Structural model:
```
data_LaH6S3N3O9
_space_group_name_H-M_alt 'P 1'
_space_group_IT_number 1
_space_group_name_Hall 'P 1'
_cell_length_a 5.874
_cell_length_b 9.926
_cell_length_c 10.047
_cell_angle_alpha 119.13
_cell_angle_beta 90.33
_cell_angle_gamma 91.82
loop_
_atom_site_label
_atom_site_type_symbol
_atom_site_fract_x
_atom_site_fract_y
_atom_site_fract_z
_atom_site_occupancy
La1 La 0.000 0.000 0.000 1
La2 La 0.498 0.666 0.344 1
H1 H 0.029 0.026 0.613 1
H2 H 0.059 0.394 0.422 1
H3 H 0.141 0.483 0.905 1
H4 H 0.361 0.179 0.434 1
H5 H 0.392 0.229 0.742 1
H6 H 0.446 0.616 0.735 1
H7 H 0.545 0.276 0.903 1
H8 H 0.564 0.058 0.336 1
H9 H 0.623 0.523 0.793 1
H10 H 0.814 0.418 0.512 1
H11 H 0.888 0.146 0.573 1
H12 H 0.959 0.614 0.017 1
S1 S 0.003 0.939 0.363 1
S2 S 0.008 0.641 0.583 1
S3 S 0.488 0.730 0.989 1
S4 S 0.490 0.020 0.754 1
S5 S 0.519 0.237 0.266 1
S6 S 0.981 0.427 0.078 1
N1 N 0.025 0.077 0.545 1
N2 N 0.474 0.580 0.814 1
N3 N 0.520 0.172 0.390 1
N4 N 0.526 0.201 0.789 1
N5 N 0.982 0.454 0.525 1
N6 N 0.988 0.498 0.959 1
O1 O 0.003 0.261 0.981 1
O2 O 0.028 0.023 0.278 1
O3 O 0.167 0.495 0.194 1
O4 O 0.191 0.839 0.344 1
O5 O 0.246 0.663 0.549 1
O6 O 0.263 0.996 0.802 1
O7 O 0.288 0.818 0.997 1
O8 O 0.323 0.173 0.158 1
O9 O 0.475 0.658 0.085 1
O10 O 0.505 0.405 0.362 1
O11 O 0.511 0.930 0.589 1
O12 O 0.674 0.000 0.841 1
O13 O 0.703 0.822 0.017 1
O14 O 0.737 0.190 0.189 1
O15 O 0.757 0.470 0.148 1
O16 O 0.779 0.856 0.330 1
O17 O 0.843 0.681 0.498 1
O18 O 0.962 0.718 0.746 1
```

Most intense lines, 5° ≤ 2θ ≤ 70°, low angle first:
- 2θ = 10.08°, rel. 50, hkl 0 0 1
- 2θ = 10.24°, rel. 100, hkl 0 1 -1
- 2θ = 17.92°, rel. 22, hkl 0 2 -1
- 2θ = 18.41°, rel. 20, hkl 1 0 1
- 2θ = 25.05°, rel. 45, hkl 1 -2 0
- 2θ = 25.47°, rel. 23, hkl 1 -2 2
- 2θ = 25.65°, rel. 19, hkl 1 0 2
- 2θ = 30.47°, rel. 29, hkl 2 0 0
- 2θ = 30.57°, rel. 23, hkl -1 2 1
- 2θ = 30.94°, rel. 24, hkl 1 1 -3